Record 1
Computed powder XRD pattern
Compound: AcReBi
Radiation: CuKα
Structure: a cell relaxed with PBE
Lines closer than 0.1° are merged.

Peak list (10 most intense, 10° ≤ 2θ ≤ 90°, by angle)
index  Position (°2θ)  I_rel
1 0 2  29.45  94
0 0 2  29.86  17
1 -1 0  30.91  80
1 2 1  31.01  45
0 2 -1  31.78  19
0 1 2  35.26  100
2 1 1  37.83  51
0 2 -3  51.82  19
1 1 -3  56.81  24
2 -1 4  65.92  19

Structure:
abc: 4.756 6.455 6.483
angles: 88.62 68.55 68.53
Space group P-1 (No. 2)
Unique sites:
Ac  0.246  0.316  0.193 [2 per cell]
Re  0.453  0.669  0.426 [2 per cell]
Bi  0.080  0.107  0.732 [2 per cell]

Record 2
Computed powder XRD pattern
Compound: Sr4Pa3CrN8
Radiation: CuKα
Structure: a cell relaxed with PBE
Lines closer than 0.1° are merged.

Peak list (10 most intense, 10° ≤ 2θ ≤ 90°, by angle)
index  Position (°2θ)  I_rel
0 0 1  14.84  50
0 0 2  29.93  56
4 0 -2  30.48  52
2 2 0  30.78  100
4 0 0  34.12  56
2 2 -2  35.96  97
2 2 2  50.05  36
6 2 -2  50.77  36
6 2 0  59.01  19
6 2 2  82.54  19

Structure:
abc: 12.606 6.972 7.161
angles: 90.00 123.51 90.00
Space group C2/m (No. 12)
Unique sites:
Sr  0.000  0.000  0.000 [2 per cell]
Sr  0.000  0.500  0.000 [2 per cell]
Sr  0.250  0.250  0.000 [4 per cell]
Pa  0.000  0.000  0.500 [2 per cell]
Pa  0.250  0.250  0.500 [4 per cell]
Cr  0.000  0.500  0.500 [2 per cell]
N  0.021  0.250  0.309 [8 per cell]
N  0.232  0.000  0.700 [4 per cell]
N  0.238  0.000  0.286 [4 per cell]

Record 3
Computed powder XRD pattern
Compound: Rb2NaPdSe2
Radiation: CuKα
Structure: a cell relaxed with PBE
Lines closer than 0.1° are merged.

Peak list (10 most intense, 10° ≤ 2θ ≤ 90°, by angle)
index  Position (°2θ)  I_rel
0 2 0  11.42  35
1 1 0  14.28  47
0 0 2  26.36  37
2 2 0  28.81  43
1 4 1  29.68  100
0 4 2  35.23  92
2 0 2  37.62  78
1 4 3  48.63  47
1 8 1  50.87  26
2 4 4  66.36  26

Structure:
abc: 6.769 15.494 6.758
angles: 90.00 90.00 90.00
Space group Ibam (No. 72)
Unique sites:
Rb  0.243  0.170  0.000 [8 per cell]
Na  0.000  0.500  0.250 [4 per cell]
Pd  0.000  0.000  0.250 [4 per cell]
Se  0.227  0.095  0.500 [8 per cell]

Record 4
Computed powder XRD pattern
Compound: Cs3KHg
Radiation: CuKα
Structure: a cell relaxed with PBE
Lines closer than 0.1° are merged.

Peak list (10 most intense, 10° ≤ 2θ ≤ 90°, by angle)
index  Position (°2θ)  I_rel
2 0 0  10.80  52
2 2 1  21.74  30
3 0 1  22.41  100
3 3 0  23.05  77
5 1 0  27.77  89
4 2 1  28.86  45
0 0 2  31.00  31
5 2 1  33.28  28
5 1 2  42.08  40
8 1 1  47.44  31

Structure:
abc: 16.387 16.387 5.770
angles: 90.00 90.00 90.00
Space group P4_2/mnm (No. 136)
Unique sites:
Cs  0.009  0.316  0.000 [8 per cell]
Cs  0.101  0.899  0.500 [4 per cell]
K  0.190  0.190  0.500 [4 per cell]
Hg  0.071  0.071  0.000 [4 per cell]

Record 5
Computed powder XRD pattern
Compound: TlF5
Radiation: CuKα
Structure: a cell relaxed with PBE
Lines closer than 0.1° are merged.

Peak list (10 most intense, 10° ≤ 2θ ≤ 90°, by angle)
index  Position (°2θ)  I_rel
0 0 1  13.45  100
2 0 -1  21.31  36
2 0 0  24.13  30
2 0 -2  26.38  23
0 0 2  27.09  24
1 1 0  30.06  30
1 1 1  35.43  18
1 1 -2  36.65  29
3 1 -1  42.86  15
1 1 2  44.81  19

Structure:
abc: 8.380 3.248 7.479
angles: 90.00 118.33 90.00
Space group Cm (No. 8)
Unique sites:
Tl  0.000  0.000  0.000 [2 per cell]
F  0.017  0.500  0.211 [2 per cell]
F  0.022  0.000  0.586 [2 per cell]
F  0.196  0.500  0.001 [2 per cell]
F  0.328  0.500  0.449 [2 per cell]
F  0.341  0.000  0.791 [2 per cell]

Record 6
Computed powder XRD pattern
Compound: Np2Sb2Ru3
Radiation: CuKα
Structure: a cell relaxed with PBE
Lines closer than 0.1° are merged.

Peak list (10 most intense, 10° ≤ 2θ ≤ 90°, by angle)
index  Position (°2θ)  I_rel
2 2 0  30.23  100
3 0 1  33.89  36
2 2 2  37.24  68
3 2 1  40.35  40
4 0 0  43.27  49
4 0 2  48.69  20
3 3 2  51.23  21
4 2 2  53.69  22
4 4 0  62.86  27
6 2 2  75.39  36

Structure:
abc: 8.363 8.363 8.363
angles: 90.00 90.00 90.00
Space group I2_13 (No. 199)
Unique sites:
Np  0.015  0.015  0.015 [8 per cell]
Sb  0.194  0.306  0.694 [8 per cell]
Ru  0.000  0.250  0.243 [12 per cell]

Record 7
Computed powder XRD pattern
Compound: LaErCd5
Radiation: CuKα
Structure: a cell relaxed with PBE
Lines closer than 0.1° are merged.

Peak list (10 most intense, 10° ≤ 2θ ≤ 90°, by angle)
index  Position (°2θ)  I_rel
1 1 1  25.07  24
0 2 2  33.15  100
1 3 -1  33.35  32
2 0 -2  34.19  47
2 2 -1  35.19  15
2 2 0  36.20  67
0 4 0  38.38  24
2 0 2  47.38  15
2 4 -2  52.33  18
2 2 -4  58.54  18

Structure:
abc: 6.140 9.383 6.943
angles: 90.00 107.76 90.00
Space group C2/m (No. 12)
Unique sites:
La  0.000  0.000  0.000 [2 per cell]
Er  0.000  0.500  0.500 [2 per cell]
Cd  0.000  0.000  0.500 [2 per cell]
Cd  0.203  0.287  0.239 [8 per cell]